Calculated powder diffractogram
Compound: La4PmCd5
Radiation: Cu Kα
Structure: a GGA-PBE-relaxed structure

Most intense lines, 2θ = 5–70°, in order of falling intensity:
h k l, d_spacing, I/Imax
1 1 0, 2.769, 100
2 1 5, 1.599, 37
2 0 0, 1.960, 12
2 2 0, 1.385, 11
0 0 10, 1.955, 6
0 0 5, 3.916, 1

Structure:
abc: 3.9192 3.9192 19.5514
angles: 90.00 90.00 90.00
Fractional coordinates of all 10 atoms:
La 0.0000 0.0000 0.1013
La 0.0000 0.0000 0.3036
La 0.0000 0.0000 0.6964
La 0.0000 0.0000 0.8987
Pm 0.0000 0.0000 0.5000
Cd 0.5000 0.5000 0.0000
Cd 0.5000 0.5000 0.2020
Cd 0.5000 0.5000 0.4064
Cd 0.5000 0.5000 0.5936
Cd 0.5000 0.5000 0.7980